# TlCdIBr2
Computed powder X-ray diffraction pattern, Cu Kα. Input: a structure optimized by DFT (GGA-PBE).
Kinematic intensities with the Lorentz-polarization factor, no thermal factor.

Cell and atoms:
Cell: 8.043 6.059 8.740 Å, 90.00 96.44 90.00°
Space group P2_1/m (No. 11)
One atom of each set of equivalent atoms:
Tl: 0.221 0.250 0.371
Cd: 0.411 0.250 0.839
I: 0.074 0.250 0.739
Br: 0.400 0.750 0.387
Br: 0.454 0.750 0.870

Main lines, by angle (10° ≤ 2θ ≤ 90°):
| 2theta | I (rel.) | hkl |
| --- | --- | --- |
| 18.37 | 578 | 1 1 0 |
| 20.45 | 161 | 0 0 2 |
| 22.17 | 503 | 1 0 -2 |
| 26.72 | 155 | 2 1 0 |
| 29.52 | 1000 | 0 2 0 |
| 31.66 | 212 | 1 0 -3 |
| 32.27 | 218 | 2 1 -2 |
| 37.24 | 577 | 1 2 -2 |
| 40.50 | 154 | 2 0 3 |
| 43.81 | 153 | 1 2 -3 |

=====

# YPa2S4
Computed powder X-ray diffraction pattern, Cu Kα. Input: a structure optimized by DFT (GGA-PBE).
Kinematic intensities with the Lorentz-polarization factor, no thermal factor.

Cell and atoms:
Cell: 3.724 12.770 13.407 Å, 90.00 90.00 90.00°
Space group Cmcm (No. 63)
One atom of each set of equivalent atoms:
Y: 0.000 0.116 0.250
Pa: 0.000 0.358 0.064
S: 0.000 0.000 0.000
S: 0.000 0.284 0.630
S: 0.000 0.455 0.250

Main lines, by angle (10° ≤ 2θ ≤ 90°):
| 2theta | I (rel.) | hkl |
| --- | --- | --- |
| 13.21 | 412 | 0 0 2 |
| 24.31 | 1000 | 0 2 3 |
| 24.90 | 225 | 1 1 0 |
| 27.95 | 270 | 0 4 0 |
| 28.29 | 244 | 1 1 2 |
| 31.93 | 376 | 1 3 0 |
| 34.69 | 550 | 1 3 2 |
| 42.12 | 420 | 1 1 5 |
| 47.73 | 268 | 1 5 3 |
| 55.35 | 222 | 2 2 3 |

=====

# LiYZn17
Computed powder X-ray diffraction pattern, Cu Kα. Input: a structure optimized by DFT (GGA-PBE).
Kinematic intensities with the Lorentz-polarization factor, no thermal factor.

Cell and atoms:
Cell: 8.9542 8.9542 13.1620 Å, 90.00 90.00 120.00°
Space group R3m (No. 160, hexagonal axes)
One atom of each set of equivalent atoms:
Li: 0.0000 0.0000 0.0000
Y: 0.0000 0.0000 0.3065
Zn: 0.0000 0.0000 0.5459
Zn: 0.0000 0.0000 0.7508
Zn: 0.0053 0.3053 0.6427
Zn: 0.0082 0.5041 0.1397
Zn: 0.0124 0.5062 0.7964
Zn: 0.1700 0.3399 0.8240

Main lines, by angle (10° ≤ 2θ ≤ 90°):
| 2theta | I (rel.) | hkl |
| --- | --- | --- |
| 13.25 | 242 | 1 0 1 |
| 19.83 | 241 | 1 1 0 |
| 34.70 | 305 | 3 0 0 |
| 35.79 | 262 | 0 2 4 |
| 40.29 | 572 | 2 2 0 |
| 40.51 | 977 | 0 3 3 |
| 41.17 | 491 | 0 0 6 |
| 45.49 | 1000 | 2 2 3 |
| 46.08 | 278 | 1 1 6 |
| 73.24 | 280 | 6 0 0 |

=====

# DyEr4Sc4
Computed powder X-ray diffraction pattern, Cu Kα. Input: a structure optimized by DFT (GGA-PBE).
Kinematic intensities with the Lorentz-polarization factor, no thermal factor.

Cell and atoms:
Cell: 10.212 10.212 4.800 Å, 90.00 90.00 90.00°
Space group I4/mmm (No. 139)
One atom of each set of equivalent atoms:
Dy: 0.000 0.000 0.000
Er: 0.000 0.329 0.000
Sc: 0.167 0.167 0.500

Main lines, by angle (10° ≤ 2θ ≤ 90°):
| 2theta | I (rel.) | hkl |
| --- | --- | --- |
| 17.37 | 105 | 2 0 0 |
| 20.45 | 176 | 1 0 1 |
| 32.24 | 1000 | 3 0 1 |
| 37.36 | 334 | 3 3 0 |
| 37.47 | 166 | 0 0 2 |
| 53.92 | 343 | 3 3 2 |
| 64.18 | 267 | 6 3 1 |
| 64.34 | 134 | 3 0 3 |
| 67.46 | 115 | 6 0 2 |
| 88.70 | 113 | 6 3 3 |

=====

# SmPu2TeO4
Computed powder X-ray diffraction pattern, Cu Kα. Input: a structure optimized by DFT (GGA-PBE).
Kinematic intensities with the Lorentz-polarization factor, no thermal factor.

Cell and atoms:
Cell: 3.942 3.942 9.104 Å, 90.00 90.00 90.00°
Space group P4/mmm (No. 123)
One atom of each set of equivalent atoms:
Sm: 0.000 0.000 0.000
Pu: 0.500 0.500 0.273
Te: 0.000 0.000 0.500
O: 0.000 0.500 0.158

Main lines, by angle (10° ≤ 2θ ≤ 90°):
| 2theta | I (rel.) | hkl |
| --- | --- | --- |
| 29.98 | 1000 | 1 0 2 |
| 32.11 | 364 | 1 1 0 |
| 39.60 | 88 | 0 0 4 |
| 46.05 | 202 | 2 0 0 |
| 51.86 | 227 | 1 1 4 |
| 55.93 | 355 | 2 1 2 |
| 62.31 | 97 | 2 0 4 |
| 75.27 | 75 | 3 0 2 |
| 84.18 | 70 | 2 1 6 |
| 89.67 | 97 | 3 1 4 |

=====

# Pm2PrH
Computed powder X-ray diffraction pattern, Cu Kα. Input: a structure optimized by DFT (GGA-PBE).
Kinematic intensities with the Lorentz-polarization factor, no thermal factor.

Cell and atoms:
Cell: 3.6971 3.6971 26.6958 Å, 90.00 90.00 120.00°
Space group R3m (No. 160, hexagonal axes)
One atom of each set of equivalent atoms:
Pm: 0.0000 0.0000 0.0000
Pm: 0.0000 0.0000 0.2263
Pr: 0.0000 0.0000 0.4474
H: 0.0000 0.0000 0.6132

Main lines, by angle (10° ≤ 2θ ≤ 90°):
| 2theta | I (rel.) | hkl |
| --- | --- | --- |
| 28.07 | 346 | 1 0 1 |
| 30.13 | 480 | 0 0 9 |
| 30.98 | 1000 | 1 0 4 |
| 32.61 | 814 | 0 1 5 |
| 38.99 | 185 | 0 1 8 |
| 49.30 | 375 | 1 1 0 |
| 52.97 | 239 | 1 0 13 |
| 58.87 | 433 | 1 1 9 |
| 59.37 | 158 | 0 2 4 |
| 83.58 | 157 | 1 1 18 |

=====

# CsCeCuI5
Computed powder X-ray diffraction pattern, Cu Kα. Input: a structure optimized by DFT (GGA-PBE).
Kinematic intensities with the Lorentz-polarization factor, no thermal factor.

Cell and atoms:
Cell: 10.488 13.732 11.754 Å, 90.00 114.23 90.00°
Space group C2/c (No. 15)
One atom of each set of equivalent atoms:
Cs: 0.000 0.144 0.250
Ce: 0.000 0.500 0.000
Cu: 0.000 0.193 0.750
I: 0.000 0.419 0.250
I: 0.107 0.293 0.619
I: 0.194 0.082 0.922

Main lines, by angle (10° ≤ 2θ ≤ 90°):
| 2theta | I (rel.) | hkl |
| --- | --- | --- |
| 11.27 | 280 | 1 1 0 |
| 16.59 | 781 | 1 1 -2 |
| 18.55 | 343 | 2 0 0 |
| 23.63 | 558 | 1 1 -3 |
| 24.44 | 1000 | 1 3 1 |
| 26.50 | 503 | 3 1 -1 |
| 27.28 | 318 | 0 4 1 |
| 32.44 | 550 | 2 4 -2 |
| 38.86 | 475 | 4 0 -4 |
| 51.83 | 302 | 1 7 2 |

=====

# ScH3Pd5
Computed powder X-ray diffraction pattern, Cu Kα. Input: a structure optimized by DFT (GGA-PBE).
Kinematic intensities with the Lorentz-polarization factor, no thermal factor.

Cell and atoms:
Cell: 10.098 5.702 7.540 Å, 90.00 103.42 90.00°
Space group Cm (No. 8)
One atom of each set of equivalent atoms:
Sc: 0.000 0.000 0.000
Sc: 0.203 0.500 0.343
H: 0.017 0.500 0.456
H: 0.181 0.000 0.881
H: 0.232 0.000 0.563
H: 0.283 0.500 0.804
H: 0.356 0.500 0.179
H: 0.449 0.000 0.777
Pd: 0.083 0.000 0.656
Pd: 0.098 0.500 0.687
Pd: 0.211 0.000 0.322
Pd: 0.244 0.256 0.014
Pd: 0.342 0.257 0.669
Pd: 0.456 0.257 0.330
Pd: 0.491 0.000 0.023

Main lines, by angle (10° ≤ 2θ ≤ 90°):
| 2theta | I (rel.) | hkl |
| --- | --- | --- |
| 35.77 | 202 | 4 0 -1 |
| 36.44 | 504 | 2 2 0 |
| 36.76 | 896 | 0 0 3 |
| 39.13 | 595 | 4 0 -2 |
| 39.91 | 949 | 2 2 1 |
| 41.40 | 543 | 4 0 1 |
| 41.69 | 1000 | 2 2 -2 |
| 55.97 | 214 | 2 2 3 |
| 64.27 | 337 | 6 2 -1 |
| 70.82 | 220 | 2 2 -5 |

=====

# DyHo2Er
Computed powder X-ray diffraction pattern, Cu Kα. Input: a structure optimized by DFT (GGA-PBE).
Kinematic intensities with the Lorentz-polarization factor, no thermal factor.

Cell and atoms:
Cell: 3.5442 3.5442 34.0018 Å, 90.00 90.00 120.00°
Space group R3m (No. 160, hexagonal axes)
One atom of each set of equivalent atoms:
Dy: 0.0000 0.0000 0.0000
Ho: 0.0000 0.0000 0.4175
Ho: 0.0000 0.0000 0.5828
Er: 0.0000 0.0000 0.8339

Main lines, by angle (10° ≤ 2θ ≤ 90°):
| 2theta | I (rel.) | hkl |
| --- | --- | --- |
| 29.57 | 337 | 0 1 2 |
| 31.58 | 503 | 0 0 12 |
| 31.99 | 1000 | 0 1 5 |
| 34.57 | 850 | 1 0 7 |
| 51.57 | 384 | 1 1 0 |
| 54.78 | 210 | 0 1 17 |
| 59.82 | 183 | 1 0 19 |
| 61.74 | 447 | 1 1 12 |
| 61.99 | 152 | 2 0 5 |
| 88.32 | 172 | 1 1 24 |

=====

# SrYCdAu
Computed powder X-ray diffraction pattern, Cu Kα. Input: a structure optimized by DFT (GGA-PBE).
Kinematic intensities with the Lorentz-polarization factor, no thermal factor.

Cell and atoms:
Cell: 7.581 7.581 7.581 Å, 90.00 90.00 90.00°
Space group F-43m (No. 216)
One atom of each set of equivalent atoms:
Sr: 0.000 0.000 0.000
Y: 0.000 0.000 0.500
Cd: 0.250 0.250 0.750
Au: 0.250 0.250 0.250

Main lines, by angle (10° ≤ 2θ ≤ 90°):
| 2theta | I (rel.) | hkl |
| --- | --- | --- |
| 20.29 | 60 | 1 1 1 |
| 23.47 | 86 | 2 0 0 |
| 33.43 | 1000 | 2 2 0 |
| 39.42 | 38 | 3 1 1 |
| 48.01 | 180 | 4 0 0 |
| 54.10 | 39 | 4 2 0 |
| 59.76 | 370 | 4 2 2 |
| 70.24 | 114 | 4 4 0 |
| 80.06 | 160 | 6 2 0 |
| 89.59 | 42 | 4 4 4 |

=====

# Dy3Tm8
Computed powder X-ray diffraction pattern, Cu Kα. Input: a structure optimized by DFT (GGA-PBE).
Kinematic intensities with the Lorentz-polarization factor, no thermal factor.

Cell and atoms:
Cell: 3.4998 3.4998 93.9114 Å, 90.00 90.00 120.00°
Space group R-3m (No. 166, hexagonal axes)
One atom of each set of equivalent atoms:
Dy: 0.0000 0.0000 0.0000
Dy: 0.0000 0.0000 0.2724
Tm: 0.0000 0.0000 0.0914
Tm: 0.0000 0.0000 0.1817
Tm: 0.0000 0.0000 0.3638
Tm: 0.0000 0.0000 0.4548

Main lines, by angle (10° ≤ 2θ ≤ 90°):
| 2theta | I (rel.) | hkl |
| --- | --- | --- |
| 31.32 | 1000 | 0 1 11 |
| 31.44 | 329 | 0 0 33 |
| 36.35 | 672 | 1 0 22 |
| 52.28 | 240 | 1 1 0 |
| 52.43 | 236 | 0 1 44 |
| 62.26 | 425 | 2 0 11 |
| 62.42 | 140 | 1 0 55 |
| 65.34 | 123 | 0 2 22 |
| 85.53 | 121 | 1 2 11 |
| 88.34 | 113 | 2 1 22 |

=====

# Tb2Y6Er5
Computed powder X-ray diffraction pattern, Cu Kα. Input: a structure optimized by DFT (GGA-PBE).
Kinematic intensities with the Lorentz-polarization factor, no thermal factor.

Cell and atoms:
Cell: 11.640 20.142 3.570 Å, 90.00 90.00 90.00°
Space group Pbam (No. 55)
One atom of each set of equivalent atoms:
Tb: 0.165 0.210 0.000
Y: 0.057 0.919 0.000
Y: 0.085 0.631 0.000
Y: 0.173 0.367 0.500
Er: 0.000 0.500 0.500
Er: 0.092 0.773 0.500
Er: 0.199 0.049 0.500

Main lines, by angle (10° ≤ 2θ ≤ 90°):
| 2theta | I (rel.) | hkl |
| --- | --- | --- |
| 27.64 | 261 | 1 6 0 |
| 30.70 | 323 | 0 4 1 |
| 31.05 | 514 | 4 1 0 |
| 31.67 | 600 | 1 4 1 |
| 32.03 | 1000 | 1 7 0 |
| 32.30 | 956 | 2 3 1 |
| 34.43 | 339 | 2 4 1 |
| 35.35 | 215 | 3 6 0 |
| 36.74 | 341 | 3 3 1 |
| 61.66 | 309 | 1 7 2 |

=====

> Number 1 is which compound?

TlCdIBr2